For VBi2WO6, DFT lattice parameters and positions (GGA+U) gives the theoretical powder diffractogram in this record (a wavelength of 1.5418 Å).

```
data_VBi2WO6
_chemical_formula_sum 'V2 Bi4 W2 O12'
_cell_length_a 5.6886
_cell_length_b 5.9647
_cell_length_c 9.8259
_cell_angle_alpha 90.00
_cell_angle_beta 125.09
_cell_angle_gamma 90.00
_space_group_name_H-M_alt 'P 1 21/c 1'
_space_group_IT_number 14
loop_
_space_group_symop_operation_xyz
'x,y,z'
'-x,-y,-z'
'-x,y+1/2,-z+1/2'
'x,-y+1/2,z+1/2'
loop_
_atom_site_label
_atom_site_type_symbol
_atom_site_fract_x
_atom_site_fract_y
_atom_site_fract_z
_atom_site_occupancy
V1 V 0.0000 0.0000 0.0000 1
Bi1 Bi 0.2365 0.0594 0.7269 1
W1 W 0.5000 0.0000 0.5000 1
O1 O 0.1474 0.0463 0.2585 1
O2 O 0.2009 0.6754 0.0286 1
O3 O 0.3724 0.2264 0.0735 1
```

Top 6 peaks for 2θ = 10–80°, in order of rising 2θ:
- (0 1 1), 18.52°, I 42
- (0 2 0), 29.96°, I 44
- (1 1 1), 31.04°, I 100
- (1 1 -3), 31.15°, I 95
- (2 0 -2), 31.45°, I 53
- (2 2 -2), 43.99°, I 39